# CaV2Zn2Si2O10
Theoretical powder X-ray diffraction pattern, Cu Kα (weighted mean of Kα1 and Kα2). Input: a cell relaxed with GGA+U.
Intensities are scaled so that the largest is 100.

The 10 most intense peaks (10° ≤ 2θ ≤ 80°), low angle first:
| h k l | Position (°2θ) | I_rel |
| --- | --- | --- |
| 1 1 -1 | 24.92 | 62 |
| 1 0 -2 | 25.79 | 100 |
| 1 0 1 | 26.11 | 57 |
| 0 1 -2 | 26.32 | 37 |
| 1 1 0 | 27.90 | 67 |
| -1 1 2 | 33.35 | 46 |
| 0 2 0 | 34.45 | 36 |
| 1 -2 0 | 34.66 | 34 |
| 2 -1 0 | 36.19 | 62 |
| 2 1 0 | 44.49 | 45 |

Structural model:
```
data_CaV2Zn2Si2O10
_symmetry_space_group_name_H-M 'P 1'
_symmetry_Int_Tables_number 1
_cell_length_a 5.3758
_cell_length_b 5.5765
_cell_length_c 7.5445
_cell_angle_alpha 105.17
_cell_angle_beta 108.73
_cell_angle_gamma 98.45
loop_
_symmetry_equiv_pos_as_xyz
'x,y,z'
loop_
_atom_site_label
_atom_site_fract_x
_atom_site_fract_y
_atom_site_fract_z
_atom_site_occupancy
Ca1 0.0000 0.0000 0.0000 1
V1 0.2618 0.4373 0.8634 1
V2 0.3110 0.4467 0.3902 1
Zn1 0.5326 0.0820 0.5714 1
Zn2 0.8213 0.5507 0.1652 1
Si1 0.6060 0.0685 0.1612 1
Si2 0.9687 0.7872 0.5916 1
O1 0.0364 0.6637 0.7703 1
O2 0.1331 0.4601 0.0975 1
O3 0.2075 0.7897 0.4992 1
O4 0.4022 0.3887 0.6456 1
O5 0.4037 0.0875 0.2819 1
O6 0.5011 0.2058 0.9877 1
O7 0.6064 0.7711 0.0410 1
O8 0.6789 0.6364 0.4064 1
O9 0.9224 0.2138 0.2923 1
O10 0.9259 0.0769 0.6961 1
```